Structure and calculated powder diffractogram of Ba2YTi2F11 (a PBE-relaxed structure; Cu Kα (weighted mean of Kα1 and Kα2)).

Crystal structure
a = 7.8219 Å, b = 7.8219 Å, c = 13.7476 Å
α = 90.00°, β = 90.00°, γ = 120.00°
Element x y z (fractional)
Ba: 0.0118 0.1492 0.0000
Ba: 0.1374 0.9882 0.3333
Ba: 0.2288 0.5463 0.5175
Ba: 0.3175 0.7712 0.8509
Ba: 0.4537 0.6825 0.1842
Ba: 0.8508 0.8626 0.6667
Y: 0.5342 0.1984 0.0763
Y: 0.6642 0.4658 0.4097
Y: 0.8016 0.3358 0.7430
Ti: 0.3399 0.3107 0.7297
Ti: 0.4502 0.0961 0.5951
Ti: 0.6458 0.5498 0.9285
Ti: 0.6893 0.0292 0.3964
Ti: 0.9039 0.3542 0.2618
Ti: 0.9708 0.6601 0.0630
F: 0.0258 0.2511 0.6831
F: 0.0336 0.6368 0.7082
F: 0.0662 0.6435 0.2060
F: 0.1230 0.3009 0.2135
F: 0.1669 0.0569 0.7976
F: 0.1779 0.8770 0.5469
F: 0.1977 0.6118 0.0271
F: 0.2254 0.9742 0.0164
F: 0.3273 0.2708 0.5818
F: 0.3565 0.4228 0.8727
F: 0.3632 0.3967 0.3749
F: 0.3769 0.0237 0.2001
F: 0.3882 0.5859 0.6938
F: 0.4141 0.8023 0.3605
F: 0.4266 0.4087 0.0525
F: 0.4884 0.1392 0.4329
F: 0.5772 0.9338 0.5393
F: 0.5913 0.0179 0.7191
F: 0.5915 0.2557 0.9110
F: 0.6033 0.9664 0.0415
F: 0.6468 0.6231 0.5335
F: 0.6508 0.5116 0.7662
F: 0.6643 0.4085 0.2443
F: 0.6991 0.8221 0.8802
F: 0.7292 0.0565 0.2484
F: 0.7443 0.3357 0.5777
F: 0.7489 0.7746 0.3497
F: 0.8608 0.3492 0.0995
F: 0.8900 0.8331 0.1309
F: 0.9431 0.1100 0.4643
F: 0.9435 0.6727 0.9151
F: 0.9763 0.3532 0.8668
F: 0.9821 0.5734 0.3858

Principal peaks in the range 2θ from 5° to 70°, most intense first:
- 23.44 deg, I 100
- 27.11 deg, I 87
- 26.22 deg, I 70
- 44.11 deg, I 64
- 29.40 deg, I 60
- 37.48 deg, I 44
- 41.61 deg, I 42
- 29.14 deg, I 42
- 46.44 deg, I 38
- 42.12 deg, I 33

***

Structure and calculated powder diffractogram of MgInIr2 (a PBE-relaxed structure; Cu Kα (weighted mean of Kα1 and Kα2)).

Crystal structure
a = 6.3783 Å, b = 6.3783 Å, c = 6.3783 Å
α = 90.00°, β = 90.00°, γ = 90.00°
Element x y z (fractional)
Mg: 0.0000 0.0000 0.0000
Mg: 0.0000 0.5000 0.5000
Mg: 0.5000 0.0000 0.5000
Mg: 0.5000 0.5000 0.0000
In: 0.0000 0.0000 0.5000
In: 0.0000 0.5000 0.0000
In: 0.5000 0.0000 0.0000
In: 0.5000 0.5000 0.5000
Ir: 0.2500 0.2500 0.2500
Ir: 0.2500 0.2500 0.7500
Ir: 0.2500 0.7500 0.2500
Ir: 0.2500 0.7500 0.7500
Ir: 0.7500 0.2500 0.2500
Ir: 0.7500 0.2500 0.7500
Ir: 0.7500 0.7500 0.2500
Ir: 0.7500 0.7500 0.7500

Principal peaks in the range 2θ from 5° to 70°, most intense first:
- 39.98 deg, I 100
- 27.98 deg, I 26
- 57.82 deg, I 17
- 65.44 deg, I 10
- 49.50 deg, I 8
- 24.17 deg, I 8
- 47.26 deg, I 4
- 63.58 deg, I 1

***

Structure and calculated powder diffractogram of Na3ErCl6 (a PBE-relaxed structure; Cu Kα (weighted mean of Kα1 and Kα2)).

Crystal structure
a = 7.4839 Å, b = 7.4839 Å, c = 7.4839 Å
α = 60.00°, β = 60.00°, γ = 60.00°
Element x y z (fractional)
Na: 0.0000 0.0000 0.0000
Na: 0.2500 0.2500 0.2500
Na: 0.7500 0.7500 0.7500
Er: 0.5000 0.5000 0.5000
Cl: 0.2549 0.2549 0.7451
Cl: 0.2549 0.7451 0.2549
Cl: 0.2549 0.7451 0.7451
Cl: 0.7451 0.2549 0.2549
Cl: 0.7451 0.2549 0.7451
Cl: 0.7451 0.7451 0.2549

Principal peaks in the range 2θ from 5° to 70°, most intense first:
- 16.75 deg, I 100
- 14.50 deg, I 83
- 33.88 deg, I 76
- 48.67 deg, I 51
- 23.78 deg, I 49
- 38.02 deg, I 48
- 27.96 deg, I 47
- 41.81 deg, I 24
- 51.83 deg, I 24
- 44.48 deg, I 21

***

Structure and calculated powder diffractogram of MnAg2GeTe4 (a PBE-relaxed structure; Cu Kα (weighted mean of Kα1 and Kα2)).

Crystal structure
a = 6.2788 Å, b = 6.2788 Å, c = 12.9742 Å
α = 90.00°, β = 90.00°, γ = 90.00°
Element x y z (fractional)
Mn: 0.0000 0.0000 0.0000
Mn: 0.5000 0.5000 0.5000
Ag: 0.0000 0.5000 0.2500
Ag: 0.0000 0.5000 0.7500
Ag: 0.5000 0.0000 0.2500
Ag: 0.5000 0.0000 0.7500
Ge: 0.0000 0.0000 0.5000
Ge: 0.5000 0.5000 0.0000
Te: 0.2448 0.2448 0.3803
Te: 0.2448 0.7552 0.6197
Te: 0.2552 0.2552 0.8803
Te: 0.2552 0.7448 0.1197
Te: 0.7448 0.2552 0.1197
Te: 0.7448 0.7448 0.8803
Te: 0.7552 0.2448 0.6197
Te: 0.7552 0.7552 0.3803

Principal peaks in the range 2θ from 5° to 70°, most intense first:
- 24.29 deg, I 100
- 39.97 deg, I 51
- 47.91 deg, I 31
- 40.64 deg, I 25
- 46.73 deg, I 16
- 63.62 deg, I 13
- 58.83 deg, I 8
- 64.60 deg, I 6
- 56.77 deg, I 4
- 31.66 deg, I 2

***

Structure and calculated powder diffractogram of LaO2 (a PBE-relaxed structure; Cu Kα (weighted mean of Kα1 and Kα2)).

Crystal structure
a = 4.3071 Å, b = 3.9341 Å, c = 6.3639 Å
α = 90.00°, β = 99.94°, γ = 90.00°
Element x y z (fractional)
La: 0.1953 0.2500 0.3005
La: 0.8047 0.7500 0.6995
O: 0.1731 0.7500 0.0455
O: 0.2554 0.7500 0.5309
O: 0.7446 0.2500 0.4691
O: 0.8269 0.2500 0.9545

Principal peaks in the range 2θ from 5° to 70°, most intense first:
- 26.75 deg, I 100
- 23.20 deg, I 60
- 27.34 deg, I 48
- 31.00 deg, I 38
- 45.15 deg, I 38
- 42.60 deg, I 28
- 14.13 deg, I 25
- 36.66 deg, I 25
- 32.61 deg, I 23
- 53.15 deg, I 21